# W3O8
Computed powder diffractogram, λ = 1.5418 Å (Cu Kα). Input: the PBE+U geometry in Alexandria.
Peak positions follow from Bragg's law for the DFT cell and can differ from measured ones.

Atomic structure:
```
22
Lattice="5.051 0.000 0.000 0.000 5.860 0.000 -4.970 0.000 9.634" Properties=species:S:1:pos:R:3 pbc="T T T"
W -1.243 0.906 2.409
W -3.728 4.955 7.226
W -3.634 1.933 9.566
W -1.149 3.927 4.749
W 1.230 1.933 4.885
W 3.715 3.927 0.068
O -4.321 0.608 8.489
O -1.836 5.252 3.671
O -0.403 2.288 1.015
O -2.888 3.572 5.832
O 0.457 0.902 3.562
O -2.028 4.959 8.380
O -2.117 2.314 8.585
O 0.368 3.546 3.768
O -0.287 2.314 5.866
O 2.198 3.546 1.049
O 2.109 0.902 1.255
O -0.376 4.959 6.072
O 2.969 2.288 3.802
O 0.484 3.572 8.619
O 1.917 0.608 5.963
O 4.402 5.252 1.146
```

Most intense lines, 2θ from 15° to 90°, sorted by position:
Position (°2θ)	d (Å)	I_rel	(hkl)
19.92	4.458	36	1 0 -2
23.91	3.721	67	0 1 2
29.73	3.005	100	1 1 1
29.92	2.987	97	1 1 -3
35.42	2.535	49	1 2 -1
52.28	1.750	46	2 0 2